Diffraction record for LiAc2PdO6. The powder diffractogram is simulated, not measured: it uses a structure optimized by DFT (GGA-PBE) and Cu Kα (λ = 1.5418 Å).
Intensities are scaled so that the largest is 100.

Structure:
Unit cell a=5.706 b=5.740 c=9.857 alpha=90.00 beta=125.26 gamma=90.00
Space group P2_1/c (No. 14)
Unique sites:
1 Li 0.000 0.000 0.000 (multiplicity 2)
2 Ac 0.255 0.040 0.749 (multiplicity 4)
3 Pd 0.500 0.000 0.500 (multiplicity 2)
4 O 0.191 0.011 0.255 (multiplicity 4)
5 O 0.255 0.707 0.035 (multiplicity 4)
6 O 0.328 0.219 0.033 (multiplicity 4)

Most intense lines, 15° ≤ 2θ ≤ 90°, low angle first:
| index | 2θ/deg | I_rel |
| --- | --- | --- |
| 1 0 0 | 19.0 | 13 |
| 1 1 -1 | 22.0 | 29 |
| 0 0 2 | 22.1 | 16 |
| 0 2 0 | 31.2 | 18 |
| 2 0 -2 | 31.3 | 100 |
| 0 2 2 | 38.5 | 12 |
| 2 0 -4 | 38.7 | 14 |
| 2 2 -2 | 44.8 | 19 |
| 0 0 4 | 45.1 | 11 |
| 2 0 2 | 55.8 | 30 |